Record 1
The following is a calculated powder X-ray diffraction pattern of RbTaBr2Cl2O. It was derived from a DFT-relaxed cell (PBE, OQMD), using copper Kα.
Intensities are scaled so that the largest is 100.

```
7
Lattice="6.899 -1.983 0.000 6.899 1.983 0.000 -2.270 0.000 7.403" Properties=species:S:1:pos:R:3 pbc="T T T"
Rb 0.000 0.000 0.000
Ta 5.764 -0.156 3.702
Br 3.470 0.014 4.828
Br 8.057 0.014 2.575
Cl 4.686 0.009 1.548
Cl 6.841 0.009 5.856
O 5.764 1.967 3.702
```

Most intense lines, 5 to 70 degrees two-theta, in order of falling intensity:
| Position (°2θ) | d (Å) | intensity |
| --- | --- | --- |
| 13.42 | 6.596 | 100 |
| 27.28 | 3.269 | 73 |
| 11.95 | 7.403 | 71 |
| 30.98 | 2.887 | 52 |
| 30.57 | 2.925 | 49 |
| 23.42 | 3.798 | 47 |
| 25.44 | 3.501 | 42 |
| 41.11 | 2.196 | 32 |
| 39.86 | 2.262 | 22 |
| 30.37 | 2.943 | 22 |

---

Record 2
The following is a calculated powder X-ray diffraction pattern of TeMoSe2SBr. It was derived from a DFT-relaxed cell (PBE, OQMD), using copper Kα.
Intensities are scaled so that the largest is 100.

```
12
Lattice="6.452 0.000 0.000 -1.401 7.268 0.000 -3.187 -3.021 7.410" Properties=species:S:1:pos:R:3 pbc="T T T"
Te -0.001 0.225 2.175
Te 1.864 4.023 5.235
Mo -1.396 -3.019 7.409
Mo 3.259 7.267 0.001
Se -1.362 2.434 6.274
Se 0.039 -1.324 6.136
Se 1.825 5.571 1.274
Se 3.225 1.813 1.136
S -0.003 1.756 0.273
S 1.866 2.491 7.137
Br -1.376 4.764 3.381
Br 3.239 -0.516 4.029
```

Most intense lines, 5 to 70 degrees two-theta, in order of falling intensity:
| Position (°2θ) | d (Å) | intensity |
| --- | --- | --- |
| 13.15 | 6.731 | 100 |
| 31.61 | 2.830 | 28 |
| 11.94 | 7.410 | 27 |
| 14.04 | 6.306 | 26 |
| 28.25 | 3.159 | 20 |
| 31.41 | 2.848 | 17 |
| 27.42 | 3.253 | 16 |
| 43.05 | 2.101 | 14 |
| 46.17 | 1.966 | 14 |
| 23.64 | 3.764 | 13 |

---

Record 3
The following is a calculated powder X-ray diffraction pattern of LuSeO3F. It was derived from a DFT-relaxed cell (PBE, OQMD), using copper Kα.
Intensities are scaled so that the largest is 100.

```
24
Lattice="6.452 0.000 0.000 0.000 6.729 0.000 -1.080 0.000 6.884" Properties=species:S:1:pos:R:3 pbc="T T T"
Lu 0.519 0.958 2.237
Lu -0.021 2.406 5.679
Lu 5.392 4.323 1.206
Lu 4.852 5.771 4.648
Se 2.001 4.153 2.021
Se 1.461 5.941 5.463
Se 3.911 0.788 1.421
Se 3.370 2.576 4.863
O 0.421 0.235 4.452
O 0.961 3.129 1.010
O 0.290 4.656 5.397
O 0.831 5.437 1.955
O 2.697 1.276 2.522
O 2.157 2.088 5.964
O 3.215 4.641 0.920
O 2.674 5.453 4.362
O 4.541 1.292 4.930
O 5.081 2.073 1.488
O 4.411 3.600 5.875
O 4.951 6.494 2.432
F 1.059 0.747 0.172
F 0.519 2.617 3.614
F 4.853 4.112 3.270
F 4.313 5.982 6.712
```

Most intense lines, 5 to 70 degrees two-theta, in order of falling intensity:
| Position (°2θ) | d (Å) | intensity |
| --- | --- | --- |
| 29.55 | 3.023 | 100 |
| 31.05 | 2.880 | 60 |
| 31.94 | 2.802 | 49 |
| 25.88 | 3.442 | 43 |
| 13.89 | 6.374 | 31 |
| 35.43 | 2.534 | 28 |
| 27.47 | 3.246 | 26 |
| 19.18 | 4.627 | 22 |
| 52.78 | 1.734 | 17 |
| 52.06 | 1.757 | 17 |

---

Record 4
The following is a calculated powder X-ray diffraction pattern of Y2HoCo6Ni3. It was derived from a DFT-relaxed cell (PBE, OQMD), using copper Kα.
Intensities are scaled so that the largest is 100.

```
12
Lattice="2.449 1.414 8.240 -2.449 1.414 8.240 0.000 -2.828 8.240" Properties=species:S:1:pos:R:3 pbc="T T T"
Y 0.000 0.000 3.439
Y 0.000 0.000 21.281
Ho 0.000 0.000 0.000
Co -1.225 -0.707 10.243
Co 0.000 -1.415 14.476
Co -1.225 0.707 14.476
Co 1.225 -0.707 10.243
Co 0.000 1.415 10.243
Co 1.225 0.707 14.476
Ni 0.000 0.000 8.238
Ni 0.000 0.000 12.360
Ni 0.000 0.000 16.482
```

Most intense lines, 5 to 70 degrees two-theta, in order of falling intensity:
| Position (°2θ) | d (Å) | intensity |
| --- | --- | --- |
| 42.96 | 2.105 | 100 |
| 36.69 | 2.449 | 41 |
| 35.96 | 2.498 | 35 |
| 42.79 | 2.113 | 34 |
| 33.00 | 2.714 | 34 |
| 43.96 | 2.060 | 19 |
| 43.28 | 2.090 | 16 |
| 66.03 | 1.415 | 15 |
| 46.59 | 1.949 | 13 |
| 65.60 | 1.423 | 12 |